# 1
Diffraction record for Li2NiP4O12. The powder diffraction line list is theoretical, not measured: it uses a crystal structure in the Materials Project, relaxed with PBE+U and λ = 1.5418 Å (Cu Kα).

Principal peaks in the range 10 to 80 degrees two-theta, low angle first:
2θ (°)  I_rel
15.52  82.5
15.93  31.8
17.08  100.0
23.03  95.3
25.21  39.4
25.98  70.6
26.43  41.1
28.28  83.3
33.19  30.1
34.56  24.0
34.71  25.2
54.43  26.5

Structural model:
Lattice parameters (Å, degrees): 7.441 9.290 8.607 90.00 122.76 90.00
Atoms (fractional coordinates):
Li  0.226  0.184  0.336
Li  0.226  0.316  0.836
Li  0.774  0.684  0.164
Li  0.774  0.816  0.664
Ni  0.000  0.000  0.500
Ni  0.000  0.500  0.000
P  0.205  0.715  0.374
P  0.205  0.785  0.874
P  0.452  0.588  0.765
P  0.452  0.912  0.265
P  0.548  0.088  0.735
P  0.548  0.412  0.235
P  0.795  0.215  0.126
P  0.795  0.285  0.626
O  0.055  0.610  0.227
O  0.055  0.890  0.727
O  0.087  0.673  0.909
O  0.087  0.827  0.409
O  0.309  0.103  0.623
O  0.309  0.397  0.123
O  0.346  0.047  0.265
O  0.346  0.453  0.765
O  0.369  0.726  0.824
O  0.369  0.774  0.324
O  0.375  0.628  0.555
O  0.375  0.872  0.055
O  0.625  0.128  0.945
O  0.625  0.372  0.445
O  0.631  0.226  0.676
O  0.631  0.274  0.176
O  0.654  0.547  0.235
O  0.654  0.953  0.735
O  0.691  0.603  0.877
O  0.691  0.897  0.377
O  0.913  0.173  0.591
O  0.913  0.327  0.091
O  0.945  0.110  0.273
O  0.945  0.390  0.773

***

# 2
Diffraction record for Ni3P3O13. The powder diffraction line list is theoretical, not measured: it uses a crystal structure in the Materials Project, relaxed with PBE+U and λ = 1.5418 Å (Cu Kα).

Principal peaks in the range 10 to 80 degrees two-theta, low angle first:
2θ (°)  I_rel
13.49  49.0
16.36  88.2
18.44  31.4
19.14  100.0
24.13  53.8
26.91  64.9
28.15  51.7
29.29  32.1
30.17  60.8
32.31  49.1
32.45  57.6
38.42  31.4

Structural model:
Lattice parameters (Å, degrees): 7.489 6.339 10.578 90.00 99.54 90.00
Atoms (fractional coordinates):
Ni  0.000  0.000  0.000
Ni  0.000  0.500  0.000
Ni  0.229  0.250  0.556
Ni  0.364  0.750  0.198
Ni  0.636  0.250  0.802
Ni  0.771  0.750  0.444
P  0.211  0.750  0.476
P  0.254  0.250  0.234
P  0.305  0.250  0.878
P  0.695  0.750  0.122
P  0.746  0.750  0.766
P  0.789  0.250  0.524
O  0.020  0.750  0.401
O  0.084  0.250  0.126
O  0.132  0.750  0.096
O  0.186  0.250  0.363
O  0.204  0.048  0.906
O  0.204  0.452  0.906
O  0.260  0.556  0.562
O  0.260  0.944  0.562
O  0.350  0.250  0.741
O  0.356  0.750  0.385
O  0.376  0.061  0.216
O  0.376  0.439  0.216
O  0.499  0.250  0.961
O  0.501  0.750  0.039
O  0.624  0.561  0.784
O  0.624  0.939  0.784
O  0.644  0.250  0.615
O  0.650  0.750  0.259
O  0.740  0.056  0.438
O  0.740  0.444  0.438
O  0.796  0.548  0.094
O  0.796  0.952  0.094
O  0.814  0.750  0.637
O  0.868  0.250  0.904
O  0.916  0.750  0.874
O  0.980  0.250  0.599

***

# 3
Diffraction record for Li3MnPCO7. The powder diffraction line list is theoretical, not measured: it uses a crystal structure in the Materials Project, relaxed with PBE+U and λ = 1.5418 Å (Cu Kα).

Principal peaks in the range 10 to 80 degrees two-theta, low angle first:
2θ (°)  I_rel
10.30  32.6
17.08  100.0
22.71  47.2
24.41  32.9
24.83  30.6
25.57  45.8
29.93  23.5
34.22  33.2
34.55  86.0
35.09  31.5
36.71  24.2
50.92  25.4

Structural model:
Lattice parameters (Å, degrees): 4.911 6.518 8.615 90.00 94.35 90.00
Atoms (fractional coordinates):
Li  0.223  0.000  0.356
Li  0.225  0.528  0.106
Li  0.235  0.249  0.711
Li  0.765  0.749  0.289
Li  0.775  0.028  0.894
Li  0.777  0.500  0.644
Mn  0.256  0.762  0.735
Mn  0.744  0.262  0.265
P  0.280  0.511  0.407
P  0.720  0.011  0.593
C  0.294  0.022  0.043
C  0.706  0.522  0.957
O  0.042  0.026  0.068
O  0.174  0.320  0.311
O  0.175  0.699  0.310
O  0.182  0.509  0.574
O  0.369  0.010  0.898
O  0.401  0.004  0.580
O  0.485  0.027  0.156
O  0.515  0.527  0.844
O  0.599  0.504  0.420
O  0.631  0.510  0.102
O  0.818  0.009  0.426
O  0.825  0.199  0.690
O  0.826  0.820  0.689
O  0.958  0.526  0.932

***

# 4
Diffraction record for Fe4O3F5. The powder diffraction line list is theoretical, not measured: it uses a crystal structure in the Materials Project, relaxed with PBE+U and λ = 1.5418 Å (Cu Kα).

Principal peaks in the range 10 to 80 degrees two-theta, low angle first:
2θ (°)  I_rel
25.28  100.0
27.25  91.8
34.46  50.2
34.66  49.7
38.79  17.8
50.73  33.5
50.88  33.4
51.91  21.2
52.81  24.9
53.23  25.5
65.62  20.0
65.98  20.8

Structural model:
Lattice parameters (Å, degrees): 7.803 7.803 6.545 114.38 114.38 53.68
Atoms (fractional coordinates):
Fe  0.000  0.000  0.000
Fe  0.122  0.122  0.596
Fe  0.257  0.257  0.268
Fe  0.373  0.373  0.878
Fe  0.500  0.500  0.500
Fe  0.627  0.627  0.122
Fe  0.743  0.743  0.732
Fe  0.878  0.878  0.404
O  0.124  0.124  0.293
O  0.374  0.374  0.176
O  0.375  0.375  0.581
O  0.625  0.625  0.419
O  0.626  0.626  0.824
O  0.876  0.876  0.707
F  0.055  0.451  0.758
F  0.123  0.123  0.914
F  0.205  0.795  0.500
F  0.307  0.693  0.000
F  0.451  0.055  0.758
F  0.549  0.945  0.242
F  0.693  0.307  0.000
F  0.795  0.205  0.500
F  0.877  0.877  0.086
F  0.945  0.549  0.242